No. 1
PrTlPt5: theoretical PXRD pattern (Cu Kα), based on the PBE geometry in Alexandria.

Cell and atoms:
```
data_PrTlPt5
_chemical_formula_sum 'Pr4 Tl4 Pt20'
_cell_length_a 8.982
_cell_length_b 5.376
_cell_length_c 11.266
_cell_angle_alpha 90.00
_cell_angle_beta 90.00
_cell_angle_gamma 90.00
_symmetry_space_group_name_H-M 'P 1'
_symmetry_Int_Tables_number 1
loop_
_symmetry_equiv_pos_as_xyz
'x,y,z'
loop_
_atom_site_label
_atom_site_fract_x
_atom_site_fract_y
_atom_site_fract_z
_atom_site_occupancy
Pr1 0.247 0.250 0.067 1
Pr2 0.253 0.750 0.567 1
Pr3 0.747 0.250 0.433 1
Pr4 0.753 0.750 0.933 1
Tl1 0.146 0.750 0.866 1
Tl2 0.354 0.250 0.366 1
Tl3 0.646 0.750 0.634 1
Tl4 0.854 0.250 0.134 1
Pt1 0.035 0.750 0.090 1
Pt2 0.067 0.004 0.300 1
Pt3 0.067 0.496 0.300 1
Pt4 0.072 0.250 0.509 1
Pt5 0.191 0.250 0.732 1
Pt6 0.309 0.750 0.232 1
Pt7 0.428 0.750 0.009 1
Pt8 0.433 0.504 0.800 1
Pt9 0.433 0.996 0.800 1
Pt10 0.465 0.250 0.590 1
Pt11 0.535 0.750 0.410 1
Pt12 0.567 0.004 0.200 1
Pt13 0.567 0.496 0.200 1
Pt14 0.572 0.250 0.991 1
Pt15 0.691 0.250 0.768 1
Pt16 0.809 0.750 0.268 1
Pt17 0.928 0.750 0.491 1
Pt18 0.933 0.504 0.700 1
Pt19 0.933 0.996 0.700 1
Pt20 0.965 0.250 0.910 1
```

Top 10 peaks for 2θ = 10–90°, sorted by position:
- 2θ = 33.3°, rel. 36, hkl 0 2 0
- 2θ = 35.2°, rel. 57, hkl 3 1 1
- 2θ = 35.3°, rel. 66, hkl 2 1 3
- 2θ = 37.1°, rel. 26, hkl 0 2 2
- 2θ = 37.9°, rel. 29, hkl 3 1 2
- 2θ = 39.9°, rel. 50, hkl 2 2 1
- 2θ = 41.0°, rel. 43, hkl 4 0 1
- 2θ = 41.4°, rel. 100, hkl 1 0 5
- 2θ = 42.3°, rel. 33, hkl 2 2 2
- 2θ = 42.6°, rel. 49, hkl 1 2 3



No. 2
Pr6Tl3Pt: theoretical PXRD pattern (Cu Kα), based on the PBE geometry in Alexandria.

Cell and atoms:
```
data_Pr6Tl3Pt
_chemical_formula_sum 'Pr12 Tl6 Pt2'
_cell_length_a 9.407
_cell_length_b 12.174
_cell_length_c 5.461
_cell_angle_alpha 90.00
_cell_angle_beta 90.00
_cell_angle_gamma 90.00
_symmetry_space_group_name_H-M 'P 1'
_symmetry_Int_Tables_number 1
loop_
_symmetry_equiv_pos_as_xyz
'x,y,z'
loop_
_atom_site_label
_atom_site_fract_x
_atom_site_fract_y
_atom_site_fract_z
_atom_site_occupancy
Pr1 0.009 0.239 0.000 1
Pr2 0.155 0.081 0.500 1
Pr3 0.185 0.421 0.500 1
Pr4 0.315 0.921 0.000 1
Pr5 0.345 0.581 0.000 1
Pr6 0.491 0.739 0.500 1
Pr7 0.509 0.261 0.500 1
Pr8 0.655 0.419 0.000 1
Pr9 0.685 0.079 0.000 1
Pr10 0.815 0.579 0.500 1
Pr11 0.845 0.919 0.500 1
Pr12 0.991 0.761 0.000 1
Tl1 0.000 0.500 0.000 1
Tl2 0.156 0.736 0.500 1
Tl3 0.344 0.236 0.000 1
Tl4 0.500 0.000 0.500 1
Tl5 0.656 0.764 0.000 1
Tl6 0.844 0.264 0.500 1
Pt1 0.000 0.000 0.000 1
Pt2 0.500 0.500 0.500 1
```

Top 10 peaks for 2θ = 10–90°, sorted by position:
- 2θ = 29.0°, rel. 100, hkl 1 3 1
- 2θ = 29.3°, rel. 15, hkl 0 4 0
- 2θ = 32.8°, rel. 48, hkl 0 0 2
- 2θ = 32.9°, rel. 91, hkl 3 0 1
- 2θ = 35.1°, rel. 20, hkl 1 4 1
- 2θ = 44.4°, rel. 20, hkl 2 3 2
- 2θ = 44.6°, rel. 20, hkl 4 3 0
- 2θ = 44.7°, rel. 24, hkl 3 4 1
- 2θ = 48.8°, rel. 22, hkl 2 4 2
- 2θ = 58.6°, rel. 19, hkl 3 0 3